Starting from a DFT-relaxed cell (GGA+U, Alexandria), the powder diffractogram of GaHgMoO6 was calculated for Cu Kα (λ = 1.5418 Å).
Lines closer than 0.1° are merged.

Crystal structure
Unit cell a=5.448 b=8.889 c=4.846 alpha=90.00 beta=98.81 gamma=90.00
Space group C2 (No. 5)
Unique sites:
Ga 0.000 0.000 0.000
Hg 0.000 0.668 0.500
Mo 0.000 0.327 0.000
O 0.091 0.181 0.769
O 0.164 0.494 0.796
O 0.167 0.854 0.777

The 10 most intense peaks (2θ from 10° to 90°), in order of falling intensity:
25.01 deg, I = 100
27.38 deg, I = 74
28.60 deg, I = 66
34.55 deg, I = 48
49.87 deg, I = 35
33.28 deg, I = 34
44.96 deg, I = 26
55.12 deg, I = 24
41.22 deg, I = 22
53.98 deg, I = 21